Theoretical powder diffraction line list of La2P3Pd4Pb for a wavelength of 1.5418 Å, from a DFT-relaxed cell (GGA-PBE, Alexandria).
No peak broadening, texture or thermal motion is included.

Atomic structure:
```
La2P3Pd4Pb
1.0
4.239 0.000 0.000
0.000 4.239 0.000
0.000 0.000 10.961
La P Pd Pb
2 3 4 1
Cartesian
0.000 2.119 2.494
2.119 0.000 8.466
0.000 2.119 9.595
2.119 0.000 1.365
2.119 2.119 5.480
0.000 0.000 0.000
0.000 2.119 7.241
2.119 0.000 3.719
2.119 2.119 0.000
0.000 0.000 5.480
```

Peak list (6 most intense, 10 to 80 degrees two-theta, sorted by position)
two_theta  d_spacing  I_rel
26.59  3.353  21
32.35  2.767  23
34.10  2.630  100
42.66  2.119  41
46.65  1.947  15
72.61  1.302  22


Theoretical powder diffraction line list of Y4MnAl for a wavelength of 1.5418 Å, from a DFT-relaxed cell (GGA-PBE, Alexandria).
No peak broadening, texture or thermal motion is included.

Atomic structure:
```
Y4MnAl
1.0
0.000 4.394 4.394
4.394 0.000 4.394
4.394 4.394 0.000
Y Mn Al
4 1 1
Cartesian
1.098 1.098 1.098
3.296 3.296 1.098
3.296 1.098 3.296
1.098 3.296 3.296
4.394 4.394 4.394
6.591 6.591 6.591
```

Peak list (6 most intense, 10 to 80 degrees two-theta, sorted by position)
two_theta  d_spacing  I_rel
17.48  5.074  46
33.83  2.650  100
35.38  2.537  67
54.23  1.691  33
59.50  1.554  32
71.16  1.325  24


Theoretical powder diffraction line list of CsK6Rb8 for a wavelength of 1.5418 Å, from a DFT-relaxed cell (GGA-PBE, Alexandria).
No peak broadening, texture or thermal motion is included.

Atomic structure:
```
CsK6Rb8
1.0
6.077 3.509 10.033
-6.077 3.509 10.033
0.000 -7.017 10.033
Cs K Rb
1 6 8
Cartesian
0.000 0.000 0.000
-1.342 -2.429 8.730
-1.433 2.377 8.730
-2.775 -0.053 21.368
2.775 0.053 8.730
1.433 -2.377 21.368
1.342 2.429 21.368
-4.223 -1.246 16.075
-1.033 -4.280 14.024
-3.190 3.034 14.024
0.000 0.000 12.578
0.000 0.000 17.520
3.190 -3.034 16.075
1.033 4.280 16.075
4.223 1.246 14.024
```

Peak list (6 most intense, 10 to 80 degrees two-theta, sorted by position)
two_theta  d_spacing  I_rel
22.33  3.980  69
22.44  3.962  75
22.54  3.944  100
22.99  3.869  69
23.12  3.846  91
39.22  2.297  45


Theoretical powder diffraction line list of BaSi3 for a wavelength of 1.5418 Å, from a DFT-relaxed cell (GGA-PBE, Alexandria).
No peak broadening, texture or thermal motion is included.

Atomic structure:
```
BaSi3
1.0
4.272 0.000 0.000
-2.136 3.699 0.000
0.000 0.000 17.398
Ba Si
3 9
Cartesian
0.000 0.000 0.000
0.000 2.466 11.599
2.136 1.233 5.799
0.000 0.000 3.484
0.000 0.000 8.699
0.000 0.000 13.914
0.000 2.466 2.900
0.000 2.466 8.115
0.000 2.466 15.083
2.136 1.233 2.315
2.136 1.233 9.284
2.136 1.233 14.498
```

Peak list (6 most intense, 10 to 80 degrees two-theta, sorted by position)
two_theta  d_spacing  I_rel
24.60  3.618  87
26.18  3.404  66
31.75  2.818  100
35.42  2.535  60
42.32  2.136  66
53.27  1.720  44


Theoretical powder diffraction line list of NdMn2C2 for a wavelength of 1.5418 Å, from a DFT-relaxed cell (GGA-PBE, Alexandria).
No peak broadening, texture or thermal motion is included.

Atomic structure:
```
NdMn2C2
1.0
0.000 4.268 4.596
3.088 0.000 4.596
3.088 4.268 0.000
Nd Mn C
2 4 4
Cartesian
0.772 1.067 1.149
5.404 7.470 8.043
2.316 3.201 2.209
3.860 5.335 4.507
2.316 3.201 4.685
3.860 5.335 6.983
2.316 1.633 3.447
3.860 3.767 5.745
2.316 4.770 3.447
3.860 6.904 5.745
```

Peak list (6 most intense, 10 to 80 degrees two-theta, sorted by position)
two_theta  d_spacing  I_rel
28.54  3.128  41
34.32  2.613  100
35.01  2.563  42
35.90  2.502  100
42.35  2.134  34
45.94  1.975  54


Theoretical powder diffraction line list of FeCo7 for a wavelength of 1.5418 Å, from a DFT-relaxed cell (GGA-PBE, Alexandria).
No peak broadening, texture or thermal motion is included.

Atomic structure:
```
FeCo7
1.0
5.014 0.000 0.000
0.000 10.023 0.000
0.000 0.000 3.512
Fe Co
2 14
Cartesian
0.000 0.000 0.000
2.507 5.011 0.000
0.000 2.537 0.000
0.000 5.011 0.000
0.000 7.485 0.000
1.239 3.744 1.756
1.239 6.279 1.756
1.268 1.267 1.756
1.268 8.755 1.756
2.507 0.000 0.000
2.507 2.474 0.000
2.507 7.549 0.000
3.746 1.267 1.756
3.746 8.755 1.756
3.775 3.744 1.756
3.775 6.279 1.756
```

Peak list (5 most intense, 10 to 80 degrees two-theta, sorted by position)
two_theta  d_spacing  I_rel
44.40  2.040  100
51.57  1.772  31
52.08  1.756  15
75.93  1.253  9
76.34  1.247  17